Entry 1:
The following is a computed powder XRD pattern of Pr2H5. It was derived from DFT lattice parameters and positions (GGA-PBE), using λ = 1.5418 Å (Cu Kα).
Kinematic intensities with the Lorentz-polarization factor, no thermal factor.

Most intense lines, 15° ≤ 2θ ≤ 90°, by angle:
2θ (°)	I (rel.)
28.28	100
32.55	17
32.88	33
46.94	26
47.18	13
55.50	15
55.92	30
58.50	13
75.75	12
87.59	9

Cell lengths 6.7160, 6.7160, 6.7160 Å; angles 132.14, 132.14, 70.01 degrees
Element x y z (fractional)
Pr  0.0000  0.0000  0.0000
Pr  0.2419  0.7419  0.5000
Pr  0.4919  0.4919  0.0000
Pr  0.7500  0.2500  0.5000
H  0.1212  0.1014  0.4808
H  0.1212  0.6404  0.0198
H  0.2448  0.2448  0.0000
H  0.3904  0.3712  0.5198
H  0.3904  0.8706  0.0192
H  0.6206  0.1014  0.9802
H  0.6206  0.6404  0.5192
H  0.8514  0.3712  0.9808
H  0.8514  0.8706  0.4802
H  0.9948  0.4948  0.5000



Entry 2:
The following is a computed powder XRD pattern of Pr2H5. It was derived from DFT lattice parameters and positions (GGA-PBE), using λ = 1.5418 Å (Cu Kα).
Kinematic intensities with the Lorentz-polarization factor, no thermal factor.

Most intense lines, 15° ≤ 2θ ≤ 90°, by angle:
2θ (°)	I (rel.)
28.28	100
32.51	17
32.91	33
46.93	26
47.22	13
55.44	15
55.96	30
58.50	13
75.73	12
87.64	9

Cell lengths 6.7207, 6.7207, 6.7207 Å; angles 132.22, 132.22, 69.89 degrees
Element x y z (fractional)
Pr  0.1211  0.3711  0.7500
Pr  0.3711  0.1211  0.2500
Pr  0.6289  0.8789  0.7500
Pr  0.8789  0.6289  0.2500
H  0.0000  0.2682  0.2682
H  0.0000  0.7318  0.7318
H  0.1250  0.8750  0.2500
H  0.2682  0.0000  0.7682
H  0.2682  0.5000  0.2682
H  0.5000  0.2682  0.7682
H  0.5000  0.7318  0.2318
H  0.7318  0.0000  0.2318
H  0.7318  0.5000  0.7318
H  0.8750  0.1250  0.7500



Entry 3:
The following is a computed powder XRD pattern of PrH3Pt. It was derived from DFT lattice parameters and positions (GGA-PBE), using λ = 1.5418 Å (Cu Kα).
Kinematic intensities with the Lorentz-polarization factor, no thermal factor.

Most intense lines, 15° ≤ 2θ ≤ 90°, by angle:
2θ (°)	I (rel.)
27.36	56
28.81	100
39.26	22
39.74	42
40.55	41
43.06	17
47.82	13
49.20	12
51.77	20
59.67	13

Cell lengths 4.5913, 4.2015, 6.5230 Å; angles 90.00, 91.64, 90.00 degrees
Element x y z (fractional)
Pr  0.0000  0.0000  0.0000
Pr  0.5000  0.5000  0.5000
H  0.2151  0.5000  0.1550
H  0.2689  0.0000  0.3299
H  0.2742  0.0000  0.6791
H  0.7258  0.0000  0.3209
H  0.7311  0.0000  0.6701
H  0.7849  0.5000  0.8450
Pt  0.0000  0.0000  0.5000
Pt  0.5000  0.5000  0.0000



Entry 4:
The following is a computed powder XRD pattern of Tb2Pr2H9. It was derived from DFT lattice parameters and positions (GGA-PBE), using λ = 1.5418 Å (Cu Kα).
Kinematic intensities with the Lorentz-polarization factor, no thermal factor.

Most intense lines, 15° ≤ 2θ ≤ 90°, by angle:
2θ (°)	I (rel.)
28.99	100
33.11	17
33.83	32
48.07	26
48.60	13
56.64	15
57.58	29
60.07	13
77.80	12
78.62	6

Cell lengths 6.5816, 6.5816, 6.5816 Å; angles 132.52, 132.52, 69.40 degrees
Element x y z (fractional)
Tb  0.2475  0.2475  0.0000
Tb  0.7525  0.7525  0.0000
Pr  0.0000  0.5000  0.5000
Pr  0.5000  0.0000  0.5000
H  0.0000  0.0000  0.0000
H  0.1203  0.1203  0.5118
H  0.1203  0.6086  0.0000
H  0.3914  0.3914  0.5118
H  0.3914  0.8797  0.0000
H  0.6086  0.1203  0.0000
H  0.6086  0.6086  0.4882
H  0.8797  0.3914  0.0000
H  0.8797  0.8797  0.4882



Entry 5:
The following is a computed powder XRD pattern of HPt. It was derived from DFT lattice parameters and positions (GGA-PBE), using λ = 1.5418 Å (Cu Kα).
Kinematic intensities with the Lorentz-polarization factor, no thermal factor.

Most intense lines, 15° ≤ 2θ ≤ 90°, by angle:
2θ (°)	I (rel.)
36.26	100
42.12	49
61.09	34
73.16	40
76.99	12

Cell lengths 3.0339, 3.0339, 3.0339 Å; angles 60.00, 60.00, 60.00 degrees
Element x y z (fractional)
H  0.0000  0.0000  0.0000
Pt  0.7500  0.7500  0.7500



Entry 6:
The following is a computed powder XRD pattern of H2Pt. It was derived from DFT lattice parameters and positions (GGA-PBE), using λ = 1.5418 Å (Cu Kα).
Kinematic intensities with the Lorentz-polarization factor, no thermal factor.

Most intense lines, 15° ≤ 2θ ≤ 90°, by angle:
2θ (°)	I (rel.)
22.42	100
28.93	37
37.52	67
37.77	19
38.37	83
39.28	85
41.68	31
42.48	23
62.28	26
67.65	28

Cell lengths 8.5113, 2.8116, 4.4815 Å; angles 90.00, 90.00, 90.00 degrees
Element x y z (fractional)
H  0.0305  0.2500  0.2070
H  0.2209  0.7500  0.4580
H  0.2791  0.2500  0.9580
H  0.4695  0.7500  0.7070
H  0.5305  0.2500  0.2930
H  0.7209  0.7500  0.0420
H  0.7791  0.2500  0.5420
H  0.9695  0.7500  0.7930
Pt  0.1486  0.7500  0.0757
Pt  0.3514  0.2500  0.5757
Pt  0.6486  0.7500  0.4243
Pt  0.8514  0.2500  0.9243



Entry 7:
The following is a computed powder XRD pattern of TlH3Pt. It was derived from DFT lattice parameters and positions (GGA-PBE), using λ = 1.5418 Å (Cu Kα).
Kinematic intensities with the Lorentz-polarization factor, no thermal factor.

Most intense lines, 15° ≤ 2θ ≤ 90°, by angle:
2θ (°)	I (rel.)
33.23	100
47.71	19
59.38	39
69.77	12
79.49	17
88.92	5

Cell lengths 5.3920, 5.3920, 5.3920 Å; angles 60.00, 60.00, 60.00 degrees
Element x y z (fractional)
Tl  0.2500  0.2500  0.2500
Tl  0.7500  0.7500  0.7500
H  0.2481  0.2481  0.7519
H  0.2481  0.7519  0.2481
H  0.2481  0.7519  0.7519
H  0.7519  0.2481  0.2481
H  0.7519  0.2481  0.7519
H  0.7519  0.7519  0.2481
Pt  0.0000  0.0000  0.0000
Pt  0.5000  0.5000  0.5000



Entry 8:
The following is a computed powder XRD pattern of YH3Pt. It was derived from DFT lattice parameters and positions (GGA-PBE), using λ = 1.5418 Å (Cu Kα).
Kinematic intensities with the Lorentz-polarization factor, no thermal factor.

Most intense lines, 15° ≤ 2θ ≤ 90°, by angle:
2θ (°)	I (rel.)
23.95	16
34.13	100
42.13	5
49.04	19
55.29	7
61.10	38
71.88	12
77.00	4
82.02	16
86.98	2

Cell lengths 5.2539, 5.2539, 5.2539 Å; angles 60.00, 60.00, 60.00 degrees
Element x y z (fractional)
Y  0.2500  0.2500  0.2500
Y  0.7500  0.7500  0.7500
H  0.2492  0.2492  0.7508
H  0.2492  0.7508  0.2492
H  0.2492  0.7508  0.7508
H  0.7508  0.2492  0.2492
H  0.7508  0.2492  0.7508
H  0.7508  0.7508  0.2492
Pt  0.0000  0.0000  0.0000
Pt  0.5000  0.5000  0.5000



Copy entry 3 word for word.
The following is a computed powder XRD pattern of PrH3Pt. It was derived from DFT lattice parameters and positions (GGA-PBE), using λ = 1.5418 Å (Cu Kα).
Kinematic intensities with the Lorentz-polarization factor, no thermal factor.

Most intense lines, 15° ≤ 2θ ≤ 90°, by angle:
2θ (°)	I (rel.)
27.36	56
28.81	100
39.26	22
39.74	42
40.55	41
43.06	17
47.82	13
49.20	12
51.77	20
59.67	13

Cell lengths 4.5913, 4.2015, 6.5230 Å; angles 90.00, 91.64, 90.00 degrees
Element x y z (fractional)
Pr  0.0000  0.0000  0.0000
Pr  0.5000  0.5000  0.5000
H  0.2151  0.5000  0.1550
H  0.2689  0.0000  0.3299
H  0.2742  0.0000  0.6791
H  0.7258  0.0000  0.3209
H  0.7311  0.0000  0.6701
H  0.7849  0.5000  0.8450
Pt  0.0000  0.0000  0.5000
Pt  0.5000  0.5000  0.0000